Diffraction record for CrPC5Br3O5. The powder X-ray diffraction pattern is computed, not measured: it uses a PBE+U-relaxed structure and CuKα.
Neutral-atom scattering factors, no anomalous dispersion.

Main lines, low angle first (2θ = 10–90°):
two_theta  intensity
13.66  81
13.95  67
14.17  100
21.90  59
27.30  72
27.85  50
28.54  71
30.95  53

Atomic structure:
a = 7.1159 Å, b = 7.1745 Å, c = 14.3880 Å
α = 88.42°, β = 87.27°, γ = 87.56°
Space group P-1 (No. 2)
Unique sites:
Cr 0.2205 0.2807 0.1743
P 0.3179 0.3119 0.3248
C 0.0114 0.5866 0.7922
C 0.1122 0.0497 0.2137
C 0.1268 0.2529 0.0540
C 0.3311 0.5085 0.1316
C 0.4525 0.1534 0.1349
Br 0.1059 0.2444 0.4402
Br 0.4012 0.5922 0.3676
Br 0.4360 0.8690 0.6306
O 0.0453 0.9104 0.2369
O 0.0654 0.2381 0.9814
O 0.1540 0.5080 0.7751
O 0.3988 0.6439 0.1030
O 0.4069 0.9194 0.8908